This entry pairs a crystal structure of Mg3V2Bi2O12 with its theoretical powder X-ray diffraction pattern. Radiation: Cu Kα (weighted mean of Kα1 and Kα2). Structure: a cell relaxed with PBE+U.
Kinematic intensities with the Lorentz-polarization factor, no thermal factor.

Principal peaks in the range 2θ from 10° to 90°, in order of rising 2θ:
- 13.0 deg, rel. 100, (0 0 1)
- 13.8 deg, rel. 58, (1 0 -1)
- 21.0 deg, rel. 77, (1 1 0)
- 23.3 deg, rel. 54, (1 0 -2)
- 28.0 deg, rel. 98, (1 1 1)
- 29.2 deg, rel. 67, (2 1 -1)
- 30.8 deg, rel. 53, (0 1 2)
- 32.3 deg, rel. 81, (0 2 0)
- 34.9 deg, rel. 28, (0 2 1)
- 40.2 deg, rel. 22, (1 2 -2)
- 43.1 deg, rel. 27, (0 1 3)
- 53.6 deg, rel. 27, (3 1 -4)

Cell and atoms:
Cell: 7.3317 5.5514 7.6549 Å, 90.00 117.36 90.00°
Space group Pm (No. 6)
One atom of each set of equivalent atoms:
Mg1 0.0000 0.0000 0.0000
Mg2 0.0615 0.0000 0.4203
Mg3 0.3914 0.5000 0.1935
V1 0.6248 0.0000 0.5293
V2 0.8309 0.5000 0.0767
Bi1 0.0659 0.5000 0.7310
Bi2 0.4111 0.0000 0.8949
O1 0.2043 0.2468 0.9758
O2 0.2395 0.2379 0.6398
O3 0.4829 0.2448 0.4010
O4 0.5923 0.5000 0.0740
O5 0.6930 0.0000 0.7869
O6 0.8071 0.5000 0.8407
O7 0.8570 0.0000 0.5228
O8 0.9692 0.2404 0.1947